# Cu2Ag
Simulated powder XRD pattern, Cu Kα X-rays. Input: a DFT-relaxed cell (GGA-PBE, OQMD).
Neutral-atom scattering factors, no anomalous dispersion.

Largest 10 diffraction maxima, sorted by position, 2θ = 10–90°:
40.66°, intensity 100, hkl 1 0 3; 41.14°, intensity 92, hkl 0 3 3; 47.33°, intensity 61, hkl 1 3 0; 48.10°, intensity 28, hkl 0 0 6; 68.52°, intensity 9, hkl 2 0 0; 69.80°, intensity 42, hkl 1 3 6; 83.15°, intensity 21, hkl 2 3 3; 84.08°, intensity 20, hkl 1 6 3; 84.60°, intensity 9, hkl 1 0 9; 84.91°, intensity 9, hkl 0 3 9

Atomic structure:
```
data_Cu2Ag
_cell_length_a 2.7390
_cell_length_b 8.0804
_cell_length_c 11.3497
_cell_angle_alpha 90.00
_cell_angle_beta 90.00
_cell_angle_gamma 90.00
_space_group_name_H-M_alt 'I m m 2'
_space_group_IT_number 44
_space_group_name_Hall 'I 2 -2'
loop_
_atom_site_label
_atom_site_type_symbol
_atom_site_fract_x
_atom_site_fract_y
_atom_site_fract_z
Cu1 Cu 0.0000 0.0000 0.0000
Cu2 Cu 0.0000 0.0000 0.3226
Cu3 Cu 0.0000 0.3328 0.9899
Cu4 Cu 0.0000 0.3435 0.6516
Ag1 Ag 0.0000 0.0000 0.6472
Ag2 Ag 0.0000 0.3243 0.3276
```



# Lu4Cd3W2N3
Simulated powder XRD pattern, Cu Kα X-rays. Input: a DFT-relaxed cell (GGA-PBE, OQMD).
Neutral-atom scattering factors, no anomalous dispersion.

Largest 10 diffraction maxima, sorted by position, 2θ = 10–90°:
12.31°, intensity 13, hkl 0 0 2; 30.97°, intensity 12, hkl 0 2 0; 31.21°, intensity 23, hkl 3 1 -1; 36.32°, intensity 50, hkl 0 2 3; 36.53°, intensity 100, hkl 3 1 -4; 37.52°, intensity 28, hkl 0 0 6; 49.57°, intensity 14, hkl 3 1 -7; 55.23°, intensity 20, hkl 3 3 -1; 67.05°, intensity 12, hkl 3 1 -10; 68.69°, intensity 16, hkl 3 3 -7

Atomic structure:
```
data_Lu4Cd3W2N3
_cell_length_a 9.9031
_cell_length_b 5.7757
_cell_length_c 14.7597
_cell_angle_alpha 90.00
_cell_angle_beta 102.96
_cell_angle_gamma 90.00
_space_group_name_H-M_alt 'C 1 2/c 1'
_space_group_IT_number 15
_space_group_name_Hall '-C 2yc'
loop_
_atom_site_label
_atom_site_type_symbol
_atom_site_fract_x
_atom_site_fract_y
_atom_site_fract_z
Lu1 Lu 0.1145 0.0794 0.0919
Lu2 Lu 0.2172 0.0871 0.4079
Cd1 Cd 0.0000 0.1296 0.7500
Cd2 Cd 0.1428 0.4414 0.2492
W1 W 0.0620 0.4172 0.9350
N1 N 0.0838 0.2475 0.4999
N2 N 0.2500 0.2500 0.0000
```